Record 1
This entry pairs a crystal structure of PrNdSmEr with its computed powder diffractogram. Radiation: Cu Ka. Structure: a crystal structure in Alexandria, relaxed with GGA-PBE.
Peak positions follow from Bragg's law for the DFT cell and can differ from measured ones.

Largest 12 diffraction maxima, in order of rising 2θ, 10° ≤ 2θ ≤ 80°:
2θ (°)	Rel. int.
28.26	9
29.28	40
30.40	33
32.17	100
36.53	22
41.98	6
48.24	10
50.02	25
55.15	22
59.67	30
60.72	16
77.64	8

```
4
Lattice="3.6470 0.0000 0.0000 -1.8235 3.1584 0.0000 0.0000 0.0000 11.7600" Properties=species:S:1:pos:R:3 pbc="T T T"
Pr 0.0000 0.0000 0.0000
Nd 1.8235 1.0528 8.7329
Sm 0.0000 2.1056 5.7834
Er 1.8235 1.0528 2.9235
```

Record 2
This entry pairs a crystal structure of Sm4AlAg with its computed powder diffractogram. Radiation: Cu Ka. Structure: a crystal structure in Alexandria, relaxed with GGA-PBE.
Peak positions follow from Bragg's law for the DFT cell and can differ from measured ones.

Largest 12 diffraction maxima, in order of rising 2θ, 10° ≤ 2θ ≤ 80°:
2θ (°)	Rel. int.
17.16	55
26.20	32
28.72	61
32.02	27
32.97	100
33.73	70
34.64	83
38.38	32
44.87	36
47.19	18
49.61	30
59.85	27

```
12
Lattice="2.6574 -11.0638 0.0000 2.6574 11.0638 0.0000 0.0000 0.0000 6.4777" Properties=species:S:1:pos:R:3 pbc="T T T"
Sm 2.6574 9.6694 3.2388
Sm 2.6574 6.7834 5.1320
Sm 2.6574 6.3005 2.0143
Sm 2.6574 2.7126 3.6815
Sm 2.6574 -2.7126 0.4427
Sm 2.6574 -6.3005 5.2531
Sm 2.6574 -6.7834 1.8932
Sm 2.6574 -9.6694 0.0000
Al 2.6574 3.5371 0.3053
Al 2.6574 -3.5371 3.5441
Ag 2.6574 9.4890 0.0555
Ag 2.6574 -9.4890 3.2943
```

Record 3
This entry pairs a crystal structure of Tb2Sn5Ir3 with its computed powder diffractogram. Radiation: Cu Ka. Structure: a crystal structure in Alexandria, relaxed with GGA-PBE.
Peak positions follow from Bragg's law for the DFT cell and can differ from measured ones.

Largest 12 diffraction maxima, in order of rising 2θ, 10° ≤ 2θ ≤ 80°:
2θ (°)	Rel. int.
33.37	100
35.92	15
36.53	16
39.43	8
40.69	34
42.56	10
43.64	14
44.41	18
55.39	10
62.92	12
69.42	12
76.14	8

```
20
Lattice="2.2172 -13.3035 0.0000 2.2172 13.3035 0.0000 0.0000 0.0000 7.3005" Properties=species:S:1:pos:R:3 pbc="T T T"
Tb 2.2172 12.6789 3.6502
Tb 2.2172 4.5703 3.8693
Tb 2.2172 -4.5703 0.2191
Tb 2.2172 -12.6789 0.0000
Sn 2.2172 10.7125 6.3796
Sn 2.2172 7.8410 2.3241
Sn 2.2172 7.7433 5.4695
Sn 2.2172 3.1975 7.2738
Sn 2.2172 1.2666 4.8361
Sn 2.2172 -1.2666 1.1858
Sn 2.2172 -3.1975 3.6236
Sn 2.2172 -7.7433 1.8192
Sn 2.2172 -7.8410 5.9744
Sn 2.2172 -10.7125 2.7294
Ir 2.2172 10.4833 1.8007
Ir 2.2172 5.9401 0.2523
Ir 2.2172 1.3214 2.0430
Ir 2.2172 -1.3214 5.6932
Ir 2.2172 -5.9401 3.9025
Ir 2.2172 -10.4833 5.4509
```